[1]
The following is a simulated powder diffractogram of H2PdPb2O4. It was derived from a PBE-relaxed structure, using λ = 1.5418 Å (Cu Kα).
Peak positions follow from Bragg's law for the DFT cell and can differ from measured ones.

Most intense lines, 15 to 90 degrees two-theta, in order of rising 2θ:
| index | 2θ/deg | Rel. int. |
| --- | --- | --- |
| 0 2 1 | 20.52 | 56.2 |
| 1 1 -2 | 28.25 | 86.3 |
| 1 1 2 | 28.81 | 90.6 |
| 2 0 0 | 30.28 | 97.7 |
| 1 3 -1 | 31.99 | 100.0 |
| 1 3 1 | 32.24 | 81.3 |
| 0 4 1 | 36.57 | 46.9 |
| 0 2 3 | 38.37 | 43.1 |
| 0 4 3 | 49.40 | 44.0 |
| 3 3 -1 | 54.72 | 26.2 |

Atomic structure:
```
H2PdPb2O4
1.0
5.904 0.000 0.000
0.000 10.351 0.000
-0.179 0.000 7.896
H Pd Pb O
8 4 8 16
direct
0.189 0.084 0.262
0.189 0.416 0.762
0.280 0.591 0.233
0.280 0.909 0.733
0.720 0.091 0.267
0.720 0.409 0.767
0.811 0.584 0.238
0.811 0.916 0.738
0.000 0.000 0.000
0.000 0.500 0.500
0.500 0.000 0.500
0.500 0.500 0.000
0.012 0.182 0.608
0.012 0.318 0.108
0.492 0.673 0.605
0.492 0.827 0.105
0.508 0.173 0.895
0.508 0.327 0.395
0.988 0.682 0.892
0.988 0.818 0.392
0.028 0.094 0.227
0.028 0.406 0.727
0.124 0.163 0.896
0.124 0.337 0.396
0.394 0.168 0.601
0.394 0.332 0.101
0.443 0.604 0.215
0.443 0.896 0.715
0.557 0.104 0.285
0.557 0.396 0.785
0.606 0.668 0.899
0.606 0.832 0.399
0.876 0.663 0.604
0.876 0.837 0.104
0.972 0.594 0.273
0.972 0.906 0.773
```

***

[2]
The following is a simulated powder diffractogram of TaHPbO4. It was derived from a PBE-relaxed structure, using λ = 1.5418 Å (Cu Kα).
Peak positions follow from Bragg's law for the DFT cell and can differ from measured ones.

Most intense lines, 15 to 90 degrees two-theta, in order of rising 2θ:
| index | 2θ/deg | Rel. int. |
| --- | --- | --- |
| 1 1 0 | 22.09 | 23.5 |
| 1 1 -1 | 27.44 | 100.0 |
| 1 1 1 | 27.99 | 87.7 |
| 0 2 0 | 28.75 | 15.7 |
| 0 0 2 | 33.38 | 50.7 |
| 2 0 0 | 33.93 | 25.4 |
| 0 2 2 | 44.65 | 16.0 |
| 2 2 0 | 45.06 | 15.2 |
| 1 3 0 | 47.11 | 23.9 |
| 2 0 -2 | 47.67 | 20.4 |

Atomic structure:
```
TaHPbO4
1.0
5.286 0.000 0.000
0.000 6.210 0.000
-0.143 0.000 5.363
Ta H Pb O
2 2 2 8
direct
0.000 0.150 0.250
0.000 0.850 0.750
0.000 0.500 0.000
0.000 0.500 0.500
0.500 0.281 0.750
0.500 0.719 0.250
0.169 0.383 0.428
0.169 0.617 0.928
0.230 0.054 0.994
0.230 0.946 0.494
0.770 0.054 0.506
0.770 0.946 0.006
0.831 0.383 0.072
0.831 0.617 0.572
```

***

[3]
The following is a simulated powder diffractogram of TbPrH2O4. It was derived from a PBE-relaxed structure, using λ = 1.5418 Å (Cu Kα).
Peak positions follow from Bragg's law for the DFT cell and can differ from measured ones.

Most intense lines, 15 to 90 degrees two-theta, in order of rising 2θ:
| index | 2θ/deg | Rel. int. |
| --- | --- | --- |
| 0 0 1 | 15.27 | 32.0 |
| 1 0 -1 | 22.05 | 44.3 |
| 0 1 1 | 28.52 | 100.0 |
| 1 0 1 | 30.39 | 50.0 |
| 1 0 -2 | 31.45 | 31.2 |
| 1 1 0 | 32.44 | 33.7 |
| 1 1 -1 | 32.77 | 50.3 |
| 0 1 2 | 39.40 | 32.0 |
| 1 1 2 | 50.32 | 30.6 |
| 2 1 -2 | 51.53 | 49.7 |

Atomic structure:
```
TbPrH2O4
1.0
4.356 0.000 0.000
0.000 3.717 0.000
-1.983 0.000 5.803
Tb Pr H O
1 1 2 4
direct
0.000 0.000 0.000
0.330 0.500 0.615
0.639 0.000 0.355
0.663 0.500 0.196
0.417 0.000 0.358
0.436 0.000 0.868
0.898 0.500 0.236
0.907 0.500 0.773
```

***

[4]
The following is a simulated powder diffractogram of Sr2H8PtO8. It was derived from a PBE-relaxed structure, using λ = 1.5418 Å (Cu Kα).
Peak positions follow from Bragg's law for the DFT cell and can differ from measured ones.

Most intense lines, 15 to 90 degrees two-theta, in order of rising 2θ:
| index | 2θ/deg | Rel. int. |
| --- | --- | --- |
| 0 2 0 | 16.24 | 100.0 |
| 0 1 1 | 18.18 | 57.1 |
| 1 1 -1 | 19.73 | 37.0 |
| 1 2 0 | 23.04 | 66.9 |
| 1 1 1 | 28.49 | 63.6 |
| 0 3 1 | 29.45 | 63.4 |
| 1 0 -2 | 30.36 | 35.5 |
| 1 3 -1 | 30.47 | 46.9 |
| 2 1 -1 | 31.54 | 44.9 |
| 2 1 1 | 43.33 | 31.1 |

Atomic structure:
```
Sr2H8PtO8
1.0
5.914 0.000 0.000
0.000 10.945 0.000
-2.315 0.000 5.460
Sr H Pt O
4 16 2 16
direct
0.231 0.127 0.396
0.231 0.373 0.896
0.769 0.627 0.104
0.769 0.873 0.604
0.084 0.090 0.845
0.084 0.410 0.345
0.137 0.741 0.925
0.137 0.759 0.425
0.258 0.628 0.667
0.258 0.872 0.167
0.346 0.695 0.260
0.346 0.805 0.760
0.654 0.195 0.240
0.654 0.305 0.740
0.742 0.128 0.833
0.742 0.372 0.333
0.863 0.241 0.575
0.863 0.259 0.075
0.916 0.590 0.655
0.916 0.910 0.155
0.500 0.000 0.000
0.500 0.500 0.500
0.065 0.731 0.538
0.065 0.769 0.038
0.147 0.028 0.764
0.147 0.472 0.264
0.380 0.562 0.757
0.380 0.938 0.257
0.485 0.172 0.126
0.485 0.328 0.626
0.515 0.672 0.374
0.515 0.828 0.874
0.620 0.062 0.743
0.620 0.438 0.243
0.853 0.528 0.736
0.853 0.972 0.236
0.935 0.231 0.962
0.935 0.269 0.462
```

***

[5]
The following is a simulated powder diffractogram of SmHSO5. It was derived from a PBE-relaxed structure, using λ = 1.5418 Å (Cu Kα).
Peak positions follow from Bragg's law for the DFT cell and can differ from measured ones.

Most intense lines, 15 to 90 degrees two-theta, in order of rising 2θ:
| index | 2θ/deg | Rel. int. |
| --- | --- | --- |
| 0 2 1 | 20.00 | 56.5 |
| 1 1 -1 | 22.28 | 36.9 |
| 1 1 0 | 22.80 | 39.6 |
| 1 2 -1 | 25.64 | 47.2 |
| 1 0 -2 | 28.41 | 77.8 |
| 1 1 1 | 30.52 | 100.0 |
| 1 3 0 | 30.87 | 52.8 |
| 0 4 1 | 32.39 | 72.1 |
| 2 1 -1 | 41.69 | 42.1 |
| 1 4 -3 | 50.08 | 42.2 |

Atomic structure:
```
SmHSO5
1.0
4.406 0.000 0.000
0.000 12.236 0.000
-2.469 0.000 6.451
Sm H S O
4 4 4 20
direct
0.167 0.062 0.301
0.167 0.438 0.801
0.833 0.562 0.199
0.833 0.938 0.699
0.209 0.659 0.982
0.209 0.841 0.482
0.791 0.159 0.518
0.791 0.341 0.018
0.410 0.148 0.888
0.410 0.352 0.388
0.590 0.648 0.612
0.590 0.852 0.112
0.200 0.068 0.951
0.200 0.432 0.451
0.227 0.249 0.821
0.227 0.251 0.321
0.232 0.586 0.045
0.232 0.914 0.545
0.292 0.669 0.435
0.292 0.831 0.935
0.479 0.099 0.712
0.479 0.401 0.212
0.521 0.599 0.788
0.521 0.901 0.288
0.708 0.169 0.065
0.708 0.331 0.565
0.768 0.086 0.455
0.768 0.414 0.955
0.773 0.749 0.679
0.773 0.751 0.179
0.800 0.568 0.549
0.800 0.932 0.049
```

***

[6]
The following is a simulated powder diffractogram of Zn7H10S2O18. It was derived from a PBE-relaxed structure, using λ = 1.5418 Å (Cu Kα).
Peak positions follow from Bragg's law for the DFT cell and can differ from measured ones.

Most intense lines, 15 to 90 degrees two-theta, in order of rising 2θ:
| index | 2θ/deg | Rel. int. |
| --- | --- | --- |
| -1 1 1 | 22.04 | 52.7 |
| 0 2 0 | 24.26 | 53.8 |
| 1 2 2 | 28.95 | 64.9 |
| 1 -1 2 | 33.14 | 50.3 |
| 1 1 3 | 33.28 | 64.7 |
| 1 1 -2 | 33.50 | 79.1 |
| 2 1 1 | 34.29 | 100.0 |
| 1 -2 1 | 35.21 | 85.9 |
| 1 0 -3 | 37.82 | 68.8 |
| 3 -1 2 | 59.16 | 77.4 |

Atomic structure:
```
Zn7H10S2O18
1.0
5.424 0.000 0.000
0.814 7.942 0.000
0.810 3.382 8.177
Zn H S O
7 10 2 18
direct
0.000 0.000 0.000
0.000 0.345 0.669
0.000 0.655 0.331
0.454 0.655 0.607
0.497 0.809 0.189
0.503 0.191 0.811
0.546 0.345 0.393
0.112 0.313 0.405
0.208 0.899 0.398
0.228 0.654 0.061
0.240 0.993 0.740
0.248 0.448 0.859
0.752 0.552 0.141
0.760 0.007 0.260
0.772 0.346 0.939
0.792 0.101 0.602
0.888 0.687 0.595
0.286 0.219 0.179
0.714 0.781 0.821
0.096 0.148 0.314
0.188 0.398 0.441
0.197 0.090 0.782
0.201 0.748 0.107
0.223 0.407 0.069
0.284 0.778 0.406
0.291 0.438 0.751
0.316 0.098 0.081
0.466 0.797 0.750
0.534 0.203 0.250
0.684 0.902 0.919
0.709 0.562 0.249
0.716 0.222 0.594
0.777 0.593 0.931
0.799 0.252 0.893
0.803 0.910 0.218
0.812 0.602 0.559
0.904 0.852 0.686
```